# 1
Diffraction record for SmDyNi2P2. The powder diffractogram is computed, not measured: it uses a PBE-relaxed structure and copper Kα.
Peak positions follow from Bragg's law for the DFT cell and can differ from measured ones.

Principal peaks in the range 2θ from 15° to 90°, in order of rising 2θ:
two_theta  Rel. int.
26.32  28
34.93  100
46.06  11
46.45  34
59.41  21
67.49  21
78.02  9
78.59  19

Cell and atoms:
```
SmDyNi2P2
1.0
3.9100 0.0000 0.0000
-1.9550 3.3862 0.0000
0.0000 0.0000 7.8824
Sm Dy Ni P
1 1 2 2
direct
0.0000 0.0000 0.0000 Sm
0.0000 0.0000 0.5000 Dy
0.3333 0.6667 0.7456 Ni
0.6667 0.3333 0.2544 Ni
0.3333 0.6667 0.2563 P
0.6667 0.3333 0.7437 P
```

***

# 2
Diffraction record for Ni23MoPd6. The powder diffractogram is computed, not measured: it uses a PBE-relaxed structure and copper Kα.
Peak positions follow from Bragg's law for the DFT cell and can differ from measured ones.

Principal peaks in the range 2θ from 15° to 90°, in order of rising 2θ:
two_theta  Rel. int.
35.31  14
41.27  37
45.12  100
48.02  10
65.72  8
80.62  9
83.29  19
89.10  8

Cell and atoms:
```
Ni23MoPd6
1.0
0.0000 5.6837 5.6837
5.6837 0.0000 5.6837
5.6837 5.6837 0.0000
Ni Mo Pd
23 1 6
direct
0.0000 0.0000 0.0000 Ni
0.0000 0.0000 0.5000 Ni
0.0000 0.5000 0.0000 Ni
0.0000 0.5000 0.5000 Ni
0.0022 0.3326 0.3326 Ni
0.1214 0.1214 0.1214 Ni
0.1214 0.1214 0.6358 Ni
0.1214 0.6358 0.1214 Ni
0.3326 0.0022 0.3326 Ni
0.3326 0.3326 0.0022 Ni
0.3326 0.3326 0.3326 Ni
0.3642 0.8786 0.8786 Ni
0.5000 0.0000 0.0000 Ni
0.5000 0.0000 0.5000 Ni
0.5000 0.5000 0.0000 Ni
0.6358 0.1214 0.1214 Ni
0.6674 0.6674 0.6674 Ni
0.6674 0.6674 0.9978 Ni
0.6674 0.9978 0.6674 Ni
0.8786 0.3642 0.8786 Ni
0.8786 0.8786 0.3642 Ni
0.8786 0.8786 0.8786 Ni
0.9978 0.6674 0.6674 Ni
0.5000 0.5000 0.5000 Mo
0.2765 0.2765 0.7235 Pd
0.2765 0.7235 0.2765 Pd
0.2765 0.7235 0.7235 Pd
0.7235 0.2765 0.2765 Pd
0.7235 0.2765 0.7235 Pd
0.7235 0.7235 0.2765 Pd
```

***

# 3
Diffraction record for La4SnPb. The powder diffractogram is computed, not measured: it uses a PBE-relaxed structure and copper Kα.
Peak positions follow from Bragg's law for the DFT cell and can differ from measured ones.

Principal peaks in the range 2θ from 15° to 90°, in order of rising 2θ:
two_theta  Rel. int.
32.17  100
32.34  69
32.57  34
46.39  24
57.51  20
57.64  13
57.93  26
63.99  20

Cell and atoms:
```
La4SnPb
1.0
3.4207 0.0000 0.0000
0.0000 5.4986 0.0000
0.0000 0.0000 9.6103
La Sn Pb
4 1 1
direct
0.0000 0.0000 0.1626 La
0.0000 0.0000 0.8374 La
0.0000 0.5000 0.3294 La
0.0000 0.5000 0.6706 La
0.5000 0.5000 0.0000 Sn
0.5000 0.0000 0.5000 Pb
```